Structure and calculated powder XRD pattern of YThB4Ru6 (the PBE geometry in the Materials Project; a wavelength of 1.5418 Å).

Crystal structure
Cell: 3.052 5.547 9.578 Å, 90.00 90.00 90.00°
Fractional positions:
Y  0.000  0.000  0.000
Th  0.000  0.500  0.500
B  0.000  0.000  0.334
B  0.000  0.000  0.666
B  0.000  0.500  0.168
B  0.000  0.500  0.832
Ru  0.500  0.000  0.500
Ru  0.500  0.245  0.245
Ru  0.500  0.245  0.755
Ru  0.500  0.500  0.000
Ru  0.500  0.755  0.245
Ru  0.500  0.755  0.755

Largest 8 diffraction maxima, in order of rising 2θ, 10° ≤ 2θ ≤ 90°:
34.84 deg, d = 2.575 Å, intensity 74.1; 37.50 deg, d = 2.398 Å, intensity 100.0; 44.16 deg, d = 2.051 Å, intensity 45.6; 48.26 deg, d = 1.886 Å, intensity 11.2; 59.26 deg, d = 1.559 Å, intensity 21.4; 59.34 deg, d = 1.557 Å, intensity 10.6; 67.73 deg, d = 1.384 Å, intensity 12.4; 73.56 deg, d = 1.288 Å, intensity 27.3